Starting from a cell relaxed with PBE+U, the XRD peak list of Li3MnCo2O6 was calculated for a wavelength of 1.5418 Å.
Intensities are scaled so that the largest is 100.

Cell and atoms:
a b c (Å): 2.892 5.090 8.027
angles (deg): 81.38 81.22 75.55
Space group P-1 (No. 2)
Symmetry-distinct sites (fractional):
Li (0.000, 0.000, 0.000) x1
Li (0.329, 0.015, 0.317) x2
Mn (0.000, 0.500, 0.500) x1
Co (0.339, 0.483, 0.839) x2
O (0.020, 0.250, 0.760) x2
O (0.330, 0.278, 0.083) x2
O (0.360, 0.715, 0.589) x2

Main lines, by angle (2θ = 10–80°):
(hkl)	d/Å	2θ/deg	I/Imax
0 1 0	4.895	18.1	100
0 0 3	2.626	34.1	18
1 1 2	2.445	36.8	17
0 1 -3	2.209	40.8	31
-1 1 1	2.102	43.0	26
1 2 2	2.015	45.0	23